(1)
# Sr2Hg
Calculated X-ray diffraction stick pattern, copper Kα. Input: a structure optimized by DFT (PBE).
Lines closer than 0.1° are merged.

Cell and atoms:
abc: 8.051 8.051 7.438
angles: 90.00 90.00 90.00
Atoms (fractional coordinates):
Sr  0.178  0.322  0.000
Sr  0.178  0.678  0.500
Sr  0.322  0.178  0.500
Sr  0.322  0.822  0.000
Sr  0.678  0.178  0.000
Sr  0.678  0.822  0.500
Sr  0.822  0.322  0.500
Sr  0.822  0.678  0.000
Hg  0.000  0.000  0.250
Hg  0.000  0.000  0.750
Hg  0.500  0.500  0.250
Hg  0.500  0.500  0.750

Principal peaks in the range 2θ = 15–90°, in order of rising 2θ:
- 15.56°, intensity 83
- 27.52°, intensity 52
- 28.67°, intensity 81
- 31.43°, intensity 42
- 32.78°, intensity 100
- 35.25°, intensity 66
- 51.66°, intensity 26
- 54.27°, intensity 36
- 61.78°, intensity 26
- 64.07°, intensity 21



(2)
# SrHg8
Calculated X-ray diffraction stick pattern, copper Kα. Input: a structure optimized by DFT (PBE).
Lines closer than 0.1° are merged.

Cell and atoms:
abc: 7.580 7.580 7.580
angles: 95.85 95.85 142.75
Atoms (fractional coordinates):
Sr  0.000  0.000  0.000
Hg  0.000  0.339  0.339
Hg  0.000  0.661  0.661
Hg  0.329  0.329  0.658
Hg  0.329  0.671  0.000
Hg  0.339  0.000  0.339
Hg  0.661  0.000  0.661
Hg  0.671  0.329  0.000
Hg  0.671  0.671  0.342

Principal peaks in the range 2θ = 15–90°, in order of rising 2θ:
- 32.26°, intensity 100
- 37.14°, intensity 17
- 37.56°, intensity 33
- 53.86°, intensity 24
- 54.17°, intensity 12
- 63.90°, intensity 14
- 64.47°, intensity 28
- 67.51°, intensity 12
- 88.56°, intensity 13
- 89.07°, intensity 6